This entry pairs a crystal structure of NiPH6NO5 with its calculated X-ray powder pattern. Radiation: copper Kα. Structure: the GGA+U geometry in the Materials Project.

Largest 10 diffraction maxima, by intensity, 15 to 90 degrees two-theta:
- 31.78°, d = 2.816 Å, I = 1000
- 26.47°, d = 3.368 Å, I = 246
- 39.18°, d = 2.299 Å, I = 233
- 21.14°, d = 4.202 Å, I = 210
- 56.62°, d = 1.626 Å, I = 159
- 18.65°, d = 4.757 Å, I = 151
- 51.27°, d = 1.782 Å, I = 133
- 61.65°, d = 1.504 Å, I = 114
- 42.46°, d = 2.129 Å, I = 111
- 47.93°, d = 1.898 Å, I = 108

Cell and atoms:
abc: 5.6293 8.8979 4.7678
angles: 90.00 90.00 90.00
Fractional coordinates of all 28 atoms:
Ni 0.0000 0.0189 0.0000
Ni 0.5000 0.9811 0.5000
P 0.0000 0.8106 0.4280
P 0.5000 0.1894 0.9280
H 0.0000 0.5380 0.6834
H 0.0000 0.5439 0.0437
H 0.1393 0.1818 0.4157
H 0.1513 0.4063 0.8730
H 0.3487 0.5937 0.3730
H 0.3607 0.8182 0.9157
H 0.5000 0.4561 0.5437
H 0.5000 0.4620 0.1834
H 0.6393 0.8182 0.9157
H 0.6513 0.5937 0.3730
H 0.8487 0.4063 0.8730
H 0.8607 0.1818 0.4157
N 0.0000 0.4727 0.8680
N 0.5000 0.5273 0.3680
O 0.0000 0.1967 0.2934
O 0.0000 0.6387 0.3696
O 0.0000 0.8356 0.7460
O 0.2199 0.8867 0.2812
O 0.2801 0.1133 0.7812
O 0.5000 0.1644 0.2460
O 0.5000 0.3613 0.8696
O 0.5000 0.8033 0.7934
O 0.7199 0.1133 0.7812
O 0.7801 0.8867 0.2812